Structure and computed X-ray diffraction stick pattern of CeMgOsRu (a crystal structure in Alexandria, relaxed with PBE; Cu Kα, 1.54184 Å).

Main lines, in order of rising 2θ (15° ≤ 2θ ≤ 90°):
23.40°, I 23
27.09°, I 10
38.68°, I 100
45.71°, I 12
55.86°, I 17
61.38°, I 5
70.01°, I 35
82.97°, I 11

Structure:
```
CeMgOsRu
1.0
0.0000 3.2918 3.2918
3.2918 0.0000 3.2918
3.2918 3.2918 0.0000
Ce Mg Os Ru
1 1 1 1
Direct
0.0000 0.0000 0.0000
0.5000 0.5000 0.5000
0.7500 0.7500 0.7500
0.2500 0.2500 0.2500
```